This entry pairs a crystal structure of CuHgSb2S4 with its simulated XRD peak list. Radiation: a wavelength of 1.5418 Å. Structure: a structure optimized by DFT (GGA-PBE).
Kinematic intensities with the Lorentz-polarization factor, no thermal factor.

Structural model:
```
CuHgSb2S4
1.0
8.089 0.000 0.000
0.000 10.853 0.000
-4.029 0.000 4.044
Cu Hg Sb S
2 2 4 8
direct
0.000 0.000 0.000
0.500 0.500 0.000
0.464 0.000 0.928
0.964 0.500 0.928
0.447 0.250 0.394
0.447 0.750 0.394
0.947 0.250 0.394
0.947 0.750 0.394
0.397 0.289 0.796
0.397 0.711 0.796
0.398 0.000 0.345
0.446 0.500 0.346
0.897 0.211 0.796
0.897 0.789 0.796
0.898 0.500 0.345
0.946 0.000 0.346
```

The 10 most intense peaks (2θ = 10–80°), by angle:
d [Å]	I/Imax	index
5.060	23	1 1 -1
3.243	100	0 2 1
2.865	43	2 0 0
2.854	43	2 0 -2
2.713	38	0 4 0
2.022	28	4 0 -2
1.968	53	2 4 -2
1.718	19	2 2 1
1.713	19	2 2 -3
1.621	26	4 4 -2